This entry pairs a crystal structure of ZnNi4O10 with its calculated powder XRD pattern. Radiation: Cu Kα. Structure: a cell relaxed with GGA+U.

Crystal structure
```
data_ZnNi4O10
_cell_length_a 10.4318
_cell_length_b 2.8379
_cell_length_c 10.9665
_cell_angle_alpha 90.00
_cell_angle_beta 94.61
_cell_angle_gamma 90.00
_symmetry_space_group_name_H-M 'C 1 2/m 1'
_symmetry_Int_Tables_number 12
loop_
_symmetry_equiv_pos_as_xyz
'x,y,z'
'-x,-y,-z'
'-x,y,-z'
'x,-y,z'
'x+1/2,y+1/2,z'
'-x+1/2,-y+1/2,-z'
'-x+1/2,y+1/2,-z'
'x+1/2,-y+1/2,z'
loop_
_atom_site_label
_atom_site_fract_x
_atom_site_fract_y
_atom_site_fract_z
Zn1 0.0000 0.0000 0.0000
Ni1 0.1064 0.5000 0.7913
Ni2 0.2026 0.0000 0.5974
O1 0.0080 0.0000 0.1897
O2 0.0884 0.5000 0.6195
O3 0.1257 0.5000 0.9615
O4 0.1832 0.0000 0.4257
O5 0.2218 0.0000 0.7691
```

Largest 12 diffraction maxima, by intensity, 2θ = 5–70°:
- d = 4.555 Å, intensity 100, hkl 2 0 1
- d = 2.174 Å, intensity 37, hkl 3 1 -1
- d = 1.678 Å, intensity 24, hkl 5 1 0
- d = 2.186 Å, intensity 18, hkl 0 0 5
- d = 2.469 Å, intensity 17, hkl 1 1 -2
- d = 2.503 Å, intensity 9, hkl 2 0 -4
- d = 1.439 Å, intensity 9, hkl 3 1 -6
- d = 1.671 Å, intensity 9, hkl 3 1 4
- d = 2.167 Å, intensity 6, hkl 1 1 3
- d = 1.355 Å, intensity 5, hkl 2 2 1
- d = 1.419 Å, intensity 5, hkl 0 2 0
- d = 1.369 Å, intensity 5, hkl 1 1 -7